CrNiAsSe: simulated powder XRD pattern (Cu Kα (λ = 1.5418 Å)), based on the PBE geometry in Alexandria.
Neutral-atom scattering factors, no anomalous dispersion.

Structural model:
```
4
Lattice="3.624 0.000 0.000 -1.812 3.138 0.000 0.000 0.000 5.537" Properties=species:S:1:pos:R:3 pbc="T T T"
Cr 0.000 0.000 0.000
Ni 0.000 0.000 2.674
As 1.812 1.046 1.402
Se 0.000 2.092 4.082
```

Top 10 peaks for 15° ≤ 2θ ≤ 90°, by angle:
hkl 0 1 1, 2θ = 32.80°, intensity 1000; hkl 0 1 2, 2θ = 43.59°, intensity 925; hkl 1 1 0, 2θ = 50.36°, intensity 586; hkl 1 0 3, 2θ = 57.97°, intensity 194; hkl 2 0 1, 2θ = 61.41°, intensity 160; hkl 2 0 2, 2θ = 68.77°, intensity 219; hkl 0 2 3, 2θ = 80.31°, intensity 76; hkl 1 2 1, 2θ = 83.31°, intensity 136; hkl 1 1 4, 2θ = 88.99°, intensity 212; hkl 1 2 2, 2θ = 89.99°, intensity 213